(1)
The following is a calculated XRD peak list of AuC3. It was derived from a GGA-PBE-relaxed structure, using Cu Kα.

Atomic structure:
Unit cell a=2.653 b=2.653 c=5.289 alpha=90.00 beta=90.00 gamma=90.00
Fractional coordinates of all 4 atoms:
Au  0.000  0.000  0.000
C  0.000  0.500  0.345
C  0.500  0.000  0.655
C  0.500  0.500  0.500

Most intense lines, 10 to 90 degrees two-theta, in order of falling intensity:
2θ/deg  d [Å]  Rel. int.
16.76  5.289  100.0
37.94  2.372  84.1
48.58  1.874  51.9
33.78  2.653  46.0
51.70  1.768  31.8
33.90  2.644  26.2
60.51  1.530  22.5
63.34  1.468  18.6
83.50  1.158  17.9
81.07  1.186  17.2

(2)
The following is a calculated XRD peak list of Ge5PbCl12. It was derived from a GGA-PBE-relaxed structure, using Cu Kα.

Atomic structure:
Unit cell a=6.950 b=6.950 c=13.284 alpha=90.02 beta=90.02 gamma=120.06
Fractional coordinates of all 18 atoms:
Ge  0.000  0.000  0.000
Ge  0.167  0.833  0.500
Ge  0.333  0.667  0.000
Ge  0.667  0.333  0.000
Ge  0.833  0.167  0.500
Pb  0.500  0.500  0.500
Cl  0.000  0.333  0.892
Cl  0.000  0.667  0.108
Cl  0.142  0.142  0.614
Cl  0.143  0.500  0.386
Cl  0.333  0.000  0.892
Cl  0.334  0.334  0.108
Cl  0.500  0.143  0.386
Cl  0.500  0.857  0.614
Cl  0.666  0.666  0.892
Cl  0.667  0.000  0.108
Cl  0.857  0.500  0.614
Cl  0.858  0.858  0.386

Most intense lines, 10 to 90 degrees two-theta, in order of falling intensity:
2θ/deg  d [Å]  Rel. int.
13.33  6.642  100.0
29.01  3.078  44.3
26.52  3.362  37.8
45.76  1.983  32.5
42.85  2.111  30.7
32.77  2.733  30.3
32.75  2.735  29.0
37.48  2.400  24.6
60.11  1.539  15.6
48.78  1.867  11.3

Q: Number 1 is which compound?
A: AuC3